[1]
Tb2Tm4Pu: simulated powder X-ray diffraction pattern (Cu Kα (weighted mean of Kα1 and Kα2)), based on a structure optimized by DFT (GGA-PBE).
No peak broadening, texture or thermal motion is included.

Cell and atoms:
```
data_Tb2Tm4Pu
_chemical_formula_sum 'Tb4 Tm8 Pu2'
_space_group_name_H-M_alt 'P 1'
_space_group_IT_number 1
_space_group_name_Hall 'P 1'
_cell_length_a 6.128
_cell_length_b 3.538
_cell_length_c 19.738
_cell_angle_alpha 90.00
_cell_angle_beta 95.94
_cell_angle_gamma 90.00
loop_
_atom_site_label
_atom_site_type_symbol
_atom_site_fract_x
_atom_site_fract_y
_atom_site_fract_z
Tb1 Tb 0.000 0.000 0.000
Tb2 Tb 0.095 0.000 0.289
Tb3 Tb 0.500 0.500 0.000
Tb4 Tb 0.595 0.500 0.289
Tm1 Tm 0.285 0.000 0.855
Tm2 Tm 0.310 0.500 0.434
Tm3 Tm 0.381 0.000 0.144
Tm4 Tm 0.403 0.500 0.714
Tm5 Tm 0.785 0.500 0.855
Tm6 Tm 0.810 0.000 0.434
Tm7 Tm 0.881 0.500 0.144
Tm8 Tm 0.903 0.000 0.714
Pu1 Pu 0.189 0.000 0.574
Pu2 Pu 0.689 0.500 0.574
```

Top 6 peaks for 2θ from 5° to 70°, in order of falling intensity:
2θ (°)	intensity	hkl
33.0	100	1 1 3
33.7	98	1 1 -4
31.9	53	0 0 7
62.0	48	3 1 6
51.7	42	0 2 0
29.2	38	2 0 -1

[2]
Dy5GaHg4: simulated powder X-ray diffraction pattern (Cu Kα (weighted mean of Kα1 and Kα2)), based on a structure optimized by DFT (GGA-PBE).
No peak broadening, texture or thermal motion is included.

Cell and atoms:
```
data_Dy5GaHg4
_chemical_formula_sum 'Dy5 Ga1 Hg4'
_space_group_name_H-M_alt 'P 1'
_space_group_IT_number 1
_space_group_name_Hall 'P 1'
_cell_length_a 3.687
_cell_length_b 3.687
_cell_length_c 18.530
_cell_angle_alpha 90.00
_cell_angle_beta 90.00
_cell_angle_gamma 90.00
loop_
_atom_site_label
_atom_site_type_symbol
_atom_site_fract_x
_atom_site_fract_y
_atom_site_fract_z
Dy1 Dy 0.000 0.000 0.000
Dy2 Dy 0.000 0.000 0.203
Dy3 Dy 0.000 0.000 0.407
Dy4 Dy 0.000 0.000 0.593
Dy5 Dy 0.000 0.000 0.797
Ga1 Ga 0.500 0.500 0.500
Hg1 Hg 0.500 0.500 0.102
Hg2 Hg 0.500 0.500 0.305
Hg3 Hg 0.500 0.500 0.695
Hg4 Hg 0.500 0.500 0.898
```

Top 6 peaks for 2θ from 5° to 70°, in order of falling intensity:
2θ (°)	intensity	hkl
34.3	100	1 1 0
61.6	25	2 1 5
49.4	12	2 0 0
61.4	12	1 1 10
49.2	6	0 0 10
31.0	2	1 0 4